CsTbCdI6: calculated powder XRD pattern (CuKα), based on a DFT-relaxed cell (GGA-PBE, Alexandria).
No peak broadening, texture or thermal motion is included.

Largest 6 diffraction maxima, low angle first, 2θ from 10° to 80°:
index	2theta	I/Imax
0 0 1	10.14	47.0
1 0 1	16.50	65.8
2 -1 1	24.81	97.3
2 -1 2	30.59	100.0
1 1 3	38.49	28.7
3 0 0	39.64	42.3

Structure:
Unit cell a=7.876 b=7.876 c=8.722 alpha=90.00 beta=90.00 gamma=120.00
Sites, in units of the cell vectors:
Cs 0.000 0.000 0.000
Tb 0.333 0.667 0.500
Cd 0.667 0.333 0.500
I 0.374 0.002 0.703
I 0.374 0.372 0.297
I 0.628 0.002 0.297
I 0.628 0.626 0.703
I 0.998 0.372 0.703
I 0.998 0.626 0.297